[1]
This entry pairs a crystal structure of Y6Tl3Hg with its theoretical XRD peak list. Radiation: λ = 1.5418 Å (Cu Kα). Structure: a crystal structure in Alexandria, relaxed with GGA-PBE.

Main lines, most intense first (10 to 90 degrees two-theta):
d/Å	Rel. int.
2.631	100.0
3.037	70.5
3.653	29.4
1.994	27.5
1.519	26.0
2.538	25.3
1.989	21.0
1.315	20.8
3.055	14.9
1.860	14.2

Structural model:
Lattice parameters (Å, degrees): 9.1081 12.2214 5.2651 90.00 90.00 90.00
Sites, in units of the cell vectors:
Y (0.0003, 0.2470, 0.0000)
Y (0.9997, 0.7530, 0.0000)
Y (0.1637, 0.0902, 0.5000)
Y (0.1695, 0.4073, 0.5000)
Y (0.3305, 0.9073, 0.0000)
Y (0.3363, 0.5902, 0.0000)
Y (0.5003, 0.2530, 0.5000)
Y (0.4997, 0.7470, 0.5000)
Y (0.6637, 0.4098, 0.0000)
Y (0.6695, 0.0927, 0.0000)
Y (0.8305, 0.5927, 0.5000)
Y (0.8363, 0.9098, 0.5000)
Tl (0.0000, 0.5000, 0.0000)
Tl (0.1661, 0.7483, 0.5000)
Tl (0.3339, 0.2483, 0.0000)
Tl (0.5000, 0.0000, 0.5000)
Tl (0.6661, 0.7517, 0.0000)
Tl (0.8339, 0.2517, 0.5000)
Hg (0.0000, 0.0000, 0.0000)
Hg (0.5000, 0.5000, 0.5000)

=====

[2]
This entry pairs a crystal structure of YTlHg with its theoretical XRD peak list. Radiation: λ = 1.5418 Å (Cu Kα). Structure: a crystal structure in Alexandria, relaxed with GGA-PBE.

Main lines, most intense first (10 to 90 degrees two-theta):
d/Å	Rel. int.
2.784	100.0
2.760	46.0
2.592	45.4
2.579	40.7
2.380	34.2
2.002	18.8
1.796	14.0
1.809	13.4
5.451	10.8
1.716	10.3

Structural model:
Lattice parameters (Å, degrees): 4.7607 6.4828 6.4932 119.05 111.41 90.40
Sites, in units of the cell vectors:
Y (0.1772, 0.2337, 0.3584)
Y (0.8228, 0.7663, 0.6416)
Tl (0.4950, 0.2427, 0.9952)
Tl (0.5050, 0.7573, 0.0048)
Hg (0.1516, 0.7103, 0.2995)
Hg (0.8484, 0.2897, 0.7005)

=====

[3]
This entry pairs a crystal structure of YTlHg with its theoretical XRD peak list. Radiation: λ = 1.5418 Å (Cu Kα). Structure: a crystal structure in Alexandria, relaxed with GGA-PBE.

Main lines, most intense first (10 to 90 degrees two-theta):
d/Å	Rel. int.
2.590	100.0
2.563	97.1
2.638	52.6
3.688	48.5
3.640	47.0
2.525	46.6
3.610	46.1
1.476	35.9
2.136	23.3
2.075	21.4

Structural model:
Lattice parameters (Å, degrees): 5.0518 3.6395 5.2774 90.00 91.22 90.00
Sites, in units of the cell vectors:
Y (0.0000, 0.0000, 0.0000)
Tl (0.0000, 0.5000, 0.5000)
Hg (0.5000, 0.5000, 0.0000)

=====

[4]
This entry pairs a crystal structure of Y2TlHg with its theoretical XRD peak list. Radiation: λ = 1.5418 Å (Cu Kα). Structure: a crystal structure in Alexandria, relaxed with GGA-PBE.

Main lines, most intense first (10 to 90 degrees two-theta):
d/Å	Rel. int.
2.960	100.0
2.393	55.5
1.884	27.4
1.469	24.0
2.347	17.3
3.178	16.5
1.589	15.8
1.549	14.2
4.694	13.7
1.215	13.1

Structural model:
Lattice parameters (Å, degrees): 9.6365 9.6365 9.6365 22.54 22.54 22.54
Sites, in units of the cell vectors:
Y (0.2470, 0.2470, 0.2470)
Y (0.7530, 0.7530, 0.7530)
Tl (0.0000, 0.0000, 0.0000)
Hg (0.5000, 0.5000, 0.5000)

=====

[5]
This entry pairs a crystal structure of YTlHg with its theoretical XRD peak list. Radiation: λ = 1.5418 Å (Cu Kα). Structure: a crystal structure in Alexandria, relaxed with GGA-PBE.

Main lines, most intense first (10 to 90 degrees two-theta):
d/Å	Rel. int.
2.725	100.0
2.494	21.3
2.335	16.7
2.268	15.4
1.678	11.1
1.412	10.1
1.481	9.7
1.705	7.3
1.381	6.7
1.704	6.3

Structural model:
Lattice parameters (Å, degrees): 4.5351 4.6690 7.8142 89.94 73.23 89.85
Sites, in units of the cell vectors:
Y (0.1524, 0.0003, 0.1953)
Y (0.8476, 0.9997, 0.8047)
Tl (0.3243, 0.4997, 0.8511)
Tl (0.6757, 0.5003, 0.1489)
Hg (0.0000, 0.5000, 0.5000)
Hg (0.5000, 0.0000, 0.5000)

=====

[6]
This entry pairs a crystal structure of YTlHg with its theoretical XRD peak list. Radiation: λ = 1.5418 Å (Cu Kα). Structure: a crystal structure in Alexandria, relaxed with GGA-PBE.

Main lines, most intense first (10 to 90 degrees two-theta):
d/Å	Rel. int.
2.819	100.0
2.467	82.9
2.817	40.7
2.478	39.6
4.286	18.2
3.746	18.0
1.864	16.1
2.067	14.8
1.482	14.4
1.717	12.9

Structural model:
Lattice parameters (Å, degrees): 3.7460 4.9279 8.5817 90.22 90.19 90.10
Sites, in units of the cell vectors:
Y (0.9999, 0.2499, 0.2160)
Y (0.0001, 0.7501, 0.7840)
Tl (0.3170, 0.2502, 0.5709)
Tl (0.6830, 0.7498, 0.4291)
Hg (0.4623, 0.7503, 0.0940)
Hg (0.5377, 0.2497, 0.9060)

=====

[7]
This entry pairs a crystal structure of TlZnHg2 with its theoretical XRD peak list. Radiation: λ = 1.5418 Å (Cu Kα). Structure: a crystal structure in Alexandria, relaxed with GGA-PBE.

Main lines, most intense first (10 to 90 degrees two-theta):
d/Å	Rel. int.
2.616	100.0
2.657	23.4
1.510	16.8
1.526	16.3
2.915	14.1
1.863	12.4
1.308	8.5
1.836	8.0
3.465	7.9
1.500	7.2

Structural model:
Lattice parameters (Å, degrees): 6.1462 6.1462 6.1462 145.23 128.78 63.40
Sites, in units of the cell vectors:
Tl (0.0000, 0.0000, 0.0000)
Zn (0.2358, 0.7358, 0.5000)
Hg (0.4459, 0.4459, 0.0000)
Hg (0.7176, 0.2176, 0.5000)

=====

[8]
This entry pairs a crystal structure of Tl3Zn2Hg8 with its theoretical XRD peak list. Radiation: λ = 1.5418 Å (Cu Kα). Structure: a crystal structure in Alexandria, relaxed with GGA-PBE.

Main lines, most intense first (10 to 90 degrees two-theta):
d/Å	Rel. int.
2.834	100.0
2.171	32.6
2.786	32.3
2.457	21.4
2.418	20.3
2.865	19.2
1.843	16.0
2.664	14.8
2.914	14.5
1.735	13.9

Structural model:
Lattice parameters (Å, degrees): 8.7575 3.4700 11.4253 90.00 93.45 90.00
Sites, in units of the cell vectors:
Tl (0.0000, 0.0000, 0.0000)
Tl (0.0345, 0.5000, 0.2682)
Tl (0.9655, 0.5000, 0.7318)
Zn (0.4039, 0.0000, 0.7108)
Zn (0.5961, 0.0000, 0.2892)
Hg (0.1656, 0.0000, 0.5456)
Hg (0.3026, 0.5000, 0.8887)
Hg (0.3369, 0.0000, 0.1292)
Hg (0.3814, 0.5000, 0.3941)
Hg (0.6186, 0.5000, 0.6059)
Hg (0.6631, 0.0000, 0.8708)
Hg (0.6974, 0.5000, 0.1113)
Hg (0.8344, 0.0000, 0.4544)

=====

[9]
This entry pairs a crystal structure of Tl2ZnHg5 with its theoretical XRD peak list. Radiation: λ = 1.5418 Å (Cu Kα). Structure: a crystal structure in Alexandria, relaxed with GGA-PBE.

Main lines, most intense first (10 to 90 degrees two-theta):
d/Å	Rel. int.
2.724	100.0
2.737	72.5
2.473	52.5
2.821	34.6
2.793	30.4
3.324	25.7
1.662	20.6
2.337	19.1
2.328	18.9
1.637	17.7

Structural model:
Lattice parameters (Å, degrees): 6.5496 6.6500 6.7309 61.53 61.01 89.76
Sites, in units of the cell vectors:
Tl (0.0000, 0.0000, 0.0000)
Tl (0.0032, 0.5072, 0.0055)
Zn (0.4893, 0.2376, 0.0009)
Hg (0.0114, 0.0120, 0.4829)
Hg (0.4906, 0.4927, 0.5206)
Hg (0.4913, 0.7585, 0.0014)
Hg (0.5078, 0.0218, 0.4671)
Hg (0.9721, 0.4879, 0.5373)

=====

[10]
This entry pairs a crystal structure of TlZn2Hg with its theoretical XRD peak list. Radiation: λ = 1.5418 Å (Cu Kα). Structure: a crystal structure in Alexandria, relaxed with GGA-PBE.

Main lines, most intense first (10 to 90 degrees two-theta):
d/Å	Rel. int.
2.582	100.0
3.934	32.0
2.148	29.6
1.615	24.1
1.309	23.9
2.450	21.6
1.438	16.4
1.291	11.4
2.600	11.3
1.519	9.8

Structural model:
Lattice parameters (Å, degrees): 5.7648 5.7648 5.7648 136.25 136.25 63.60
Sites, in units of the cell vectors:
Tl (0.0000, 0.0000, 0.0000)
Zn (0.2500, 0.7500, 0.5000)
Zn (0.5000, 0.5000, 0.0000)
Hg (0.7500, 0.2500, 0.5000)

=====

[11]
This entry pairs a crystal structure of TlZnHg4 with its theoretical XRD peak list. Radiation: λ = 1.5418 Å (Cu Kα). Structure: a crystal structure in Alexandria, relaxed with GGA-PBE.

Main lines, most intense first (10 to 90 degrees two-theta):
d/Å	Rel. int.
2.989	100.0
2.612	91.9
2.829	68.5
2.115	59.2
3.129	37.4
2.427	33.0
1.884	26.2
3.338	21.8
2.288	19.9
1.769	19.3

Structural model:
Lattice parameters (Å, degrees): 7.3385 6.6761 6.9332 90.00 105.14 90.00
Sites, in units of the cell vectors:
Tl (0.0000, 0.0000, 0.0000)
Tl (0.0000, 0.5000, 0.5000)
Zn (0.5000, 0.0000, 0.0000)
Zn (0.5000, 0.5000, 0.5000)
Hg (0.1891, 0.0806, 0.6394)
Hg (0.1891, 0.4194, 0.1394)
Hg (0.3671, 0.6353, 0.8274)
Hg (0.3671, 0.8647, 0.3274)
Hg (0.6329, 0.1353, 0.6726)
Hg (0.6329, 0.3647, 0.1726)
Hg (0.8109, 0.5806, 0.8606)
Hg (0.8109, 0.9194, 0.3606)

=====

[12]
This entry pairs a crystal structure of Tl2ZnHg2 with its theoretical XRD peak list. Radiation: λ = 1.5418 Å (Cu Kα). Structure: a crystal structure in Alexandria, relaxed with GGA-PBE.

Main lines, most intense first (10 to 90 degrees two-theta):
d/Å	Rel. int.
2.752	100.0
2.690	48.7
2.929	38.6
1.655	22.5
1.457	20.4
2.616	18.5
2.379	14.3
2.128	13.9
1.641	11.3
1.383	11.1

Structural model:
Lattice parameters (Å, degrees): 8.3796 8.3796 8.3796 136.62 61.15 139.09
Sites, in units of the cell vectors:
Tl (0.1824, 0.1854, 0.3677)
Tl (0.3176, 0.6854, 0.0030)
Tl (0.6824, 0.3146, 0.9970)
Tl (0.8176, 0.8146, 0.6323)
Zn (0.2500, 0.2500, 0.0000)
Zn (0.7500, 0.7500, 0.0000)
Hg (0.0859, 0.6524, 0.7383)
Hg (0.4141, 0.1524, 0.5665)
Hg (0.5859, 0.8476, 0.4335)
Hg (0.9141, 0.3476, 0.2617)

=====

[13]
This entry pairs a crystal structure of Tl2ZnHg12 with its theoretical XRD peak list. Radiation: λ = 1.5418 Å (Cu Kα). Structure: a crystal structure in Alexandria, relaxed with GGA-PBE.

Main lines, most intense first (10 to 90 degrees two-theta):
d/Å	Rel. int.
3.020	100.0
2.390	62.9
2.220	52.8
2.835	32.9
1.613	20.2
2.730	19.0
2.764	17.9
3.685	17.8
2.346	17.5
3.461	16.7

Structural model:
Lattice parameters (Å, degrees): 6.2789 6.2789 22.1083 90.00 90.00 90.00
Sites, in units of the cell vectors:
Tl (0.2500, 0.7500, 0.2327)
Tl (0.2500, 0.7500, 0.7673)
Tl (0.7500, 0.2500, 0.2327)
Tl (0.7500, 0.2500, 0.7673)
Zn (0.2500, 0.7500, 0.0000)
Zn (0.7500, 0.2500, 0.0000)
Hg (0.0000, 0.0000, 0.0835)
Hg (0.0000, 0.0000, 0.9165)
Hg (0.0000, 0.5000, 0.0835)
Hg (0.0000, 0.5000, 0.9165)
Hg (0.0575, 0.5575, 0.4306)
Hg (0.0575, 0.9425, 0.5694)
Hg (0.2500, 0.2500, 0.1868)
Hg (0.2500, 0.2500, 0.3258)
Hg (0.2500, 0.2500, 0.6742)
Hg (0.2500, 0.2500, 0.8132)
Hg (0.4425, 0.5575, 0.5694)
Hg (0.4425, 0.9425, 0.4306)
Hg (0.5000, 0.0000, 0.0835)
Hg (0.5000, 0.0000, 0.9165)
Hg (0.5000, 0.5000, 0.0835)
Hg (0.5000, 0.5000, 0.9165)
Hg (0.5575, 0.0575, 0.5694)
Hg (0.5575, 0.4425, 0.4306)
Hg (0.7500, 0.7500, 0.1868)
Hg (0.7500, 0.7500, 0.3258)
Hg (0.7500, 0.7500, 0.6742)
Hg (0.7500, 0.7500, 0.8132)
Hg (0.9425, 0.0575, 0.4306)
Hg (0.9425, 0.4425, 0.5694)

=====

[14]
This entry pairs a crystal structure of Tl4ZnHg6 with its theoretical XRD peak list. Radiation: λ = 1.5418 Å (Cu Kα). Structure: a crystal structure in Alexandria, relaxed with GGA-PBE.

Main lines, most intense first (10 to 90 degrees two-theta):
d/Å	Rel. int.
2.653	100.0
2.603	84.8
2.757	74.2
3.044	32.7
1.433	28.6
2.986	26.6
1.912	25.0
1.490	21.5
1.858	20.5
2.199	16.9

Structural model:
Lattice parameters (Å, degrees): 10.6134 10.6134 6.3155 90.00 90.00 120.00
Sites, in units of the cell vectors:
Tl (0.1318, 0.2635, 0.0000)
Tl (0.1318, 0.8682, 0.0000)
Tl (0.2635, 0.1318, 0.5000)
Tl (0.3333, 0.6667, 0.8456)
Tl (0.6667, 0.3333, 0.3456)
Tl (0.7365, 0.8682, 0.0000)
Tl (0.8682, 0.1318, 0.5000)
Tl (0.8682, 0.7365, 0.5000)
Zn (0.3333, 0.6667, 0.3057)
Zn (0.6667, 0.3333, 0.8057)
Hg (0.0269, 0.5135, 0.2086)
Hg (0.1942, 0.3884, 0.5073)
Hg (0.1942, 0.8058, 0.5073)
Hg (0.3884, 0.1942, 0.0073)
Hg (0.4865, 0.5135, 0.2086)
Hg (0.4865, 0.9731, 0.2086)
Hg (0.5135, 0.0269, 0.7086)
Hg (0.5135, 0.4865, 0.7086)
Hg (0.6116, 0.8058, 0.5073)
Hg (0.8058, 0.1942, 0.0073)
Hg (0.8058, 0.6116, 0.0073)
Hg (0.9731, 0.4865, 0.7086)